[1]
The following is a simulated powder diffractogram of La2SmDyBi5. It was derived from DFT lattice parameters and positions (PBE), using Cu Kα X-rays.
Peak positions follow from Bragg's law for the DFT cell and can differ from measured ones.

Main lines, sorted by position (15 to 90 degrees two-theta):
2θ (°)	intensity
23.08	58
24.25	52
27.47	39
29.65	60
32.19	44
32.86	100
37.91	27
44.85	79
47.16	37
56.71	40

Crystal structure
```
9
Lattice="5.4505 0.0000 0.0000 0.0000 5.4505 0.0000 0.0000 0.0000 12.0504" Properties=species:S:1:pos:R:3 pbc="T T T"
La 0.0000 0.0000 2.6696
La 0.0000 0.0000 9.3808
Sm 2.7252 2.7252 6.0252
Dy 2.7252 2.7252 0.0000
Bi 0.0000 0.0000 6.0252
Bi 0.0000 2.7252 0.0000
Bi 2.7252 0.0000 0.0000
Bi 2.7252 2.7252 3.0317
Bi 2.7252 2.7252 9.0188
```



[2]
The following is a simulated powder diffractogram of LiDy5Bi2. It was derived from DFT lattice parameters and positions (PBE), using Cu Kα X-rays.
Peak positions follow from Bragg's law for the DFT cell and can differ from measured ones.

Main lines, sorted by position (15 to 90 degrees two-theta):
2θ (°)	intensity
28.32	19
29.77	93
31.78	100
32.56	41
32.87	33
33.13	88
33.77	30
36.16	31
43.55	36
56.73	34

Crystal structure
```
16
Lattice="2.0782 -5.8680 0.0000 2.0782 5.8680 0.0000 0.0000 0.0000 18.6798" Properties=species:S:1:pos:R:3 pbc="T T T"
Li 2.0782 3.8441 14.0099
Li 2.0782 -3.8441 4.6700
Dy 2.0782 5.2653 11.3641
Dy 2.0782 5.2653 16.6556
Dy 2.0782 1.7051 9.8984
Dy 2.0782 1.7051 18.1214
Dy 2.0782 0.7512 14.0099
Dy 2.0782 -0.7512 4.6700
Dy 2.0782 -1.7051 0.5585
Dy 2.0782 -1.7051 8.7815
Dy 2.0782 -5.2653 2.0242
Dy 2.0782 -5.2653 7.3157
Bi 2.0782 3.0601 2.7949
Bi 2.0782 3.0601 6.5450
Bi 2.0782 -3.0601 12.1348
Bi 2.0782 -3.0601 15.8849
```